# Pm6ThPb4
Theoretical powder XRD pattern, CuKα. Input: a DFT-relaxed cell (GGA-PBE, Alexandria).

Crystal structure
```
Pm6ThPb4
1.0
9.9086 0.0000 0.0000
-4.9543 8.5811 0.0000
0.0000 0.0000 4.2788
Pm Th Pb
6 1 4
Cartesian
0.0000 3.3810 0.0000 Pm
-2.0263 6.8906 0.0000 Pm
4.9543 0.6865 2.1394 Pm
3.0717 3.9473 2.1394 Pm
2.0263 6.8906 0.0000 Pm
6.8369 3.9473 2.1394 Pm
0.0000 0.0000 2.1394 Th
2.4177 1.3959 0.0000 Pb
0.0000 5.7207 2.1394 Pb
7.4909 1.3959 0.0000 Pb
4.9543 5.7893 0.0000 Pb
```

Most intense lines, 10° ≤ 2θ ≤ 90°, sorted by position:
two_theta, I/Imax, hkl
20.71, 18, 2 0 0
27.53, 75, 1 1 1
29.48, 100, 2 0 1
31.27, 24, 3 0 0
34.71, 61, 2 1 1
36.26, 68, 2 2 0
37.83, 26, 3 0 1
42.24, 26, 0 0 2
53.41, 22, 4 1 1
56.85, 45, 2 2 2